Simulated powder diffraction line list
Compound: Tb4PrEr2Sc
Radiation: CuKα
Structure: a PBE-relaxed structure
Neutral-atom scattering factors, no anomalous dispersion.

Main lines, low angle first (2θ from 10° to 80°):
two_theta  I_rel
31.01  1000
31.14  330
35.87  226
36.07  445
51.69  159
51.87  236
51.99  79
61.41  95
61.48  47
61.63  186
61.78  185
64.65  121

Crystal structure
Cell lengths 7.0360, 7.0478, 12.2169 Å; angles 73.47, 73.28, 60.35 degrees
Atoms (fractional coordinates):
Tb: 0.2465 0.2475 0.2567
Tb: 0.2472 0.7506 0.2524
Tb: 0.2503 0.7521 0.7475
Tb: 0.2507 0.2496 0.7482
Tb: 0.7493 0.7504 0.2518
Tb: 0.7497 0.2479 0.2525
Tb: 0.7528 0.2494 0.7476
Tb: 0.7535 0.7525 0.7433
Pr: 0.0000 0.5000 0.0000
Pr: 0.5000 0.0000 0.0000
Er: 0.0000 0.5000 0.5000
Er: 0.5000 0.0000 0.5000
Er: 0.5000 0.5000 0.0000
Er: 0.5000 0.5000 0.5000
Sc: 0.0000 0.0000 0.0000
Sc: 0.0000 0.0000 0.5000